Structure and theoretical powder diffraction line list of Cu2SeCl2 (a crystal structure in OQMD, relaxed with PBE; copper Kα).

Structure:
```
data_Cu2SeCl2
_symmetry_space_group_name_H-M 'F d d d'
_symmetry_Int_Tables_number 70
_cell_length_a 7.8433
_cell_length_b 11.3144
_cell_length_c 13.3555
_cell_angle_alpha 90.00
_cell_angle_beta 90.00
_cell_angle_gamma 90.00
loop_
_symmetry_equiv_pos_as_xyz
'x,y,z'
'-x,-y,-z'
'-x+1/4,-y+1/4,z'
'x+1/4,y+1/4,-z'
'x,-y+1/4,-z+1/4'
'-x,y+1/4,z+1/4'
'-x+1/4,y,-z+1/4'
'x+1/4,-y,z+1/4'
'x,y+1/2,z+1/2'
'-x,-y+1/2,-z+1/2'
'-x+1/4,-y+3/4,z+1/2'
'x+1/4,y+3/4,-z+1/2'
'x,-y+3/4,-z+3/4'
'-x,y+3/4,z+3/4'
'-x+1/4,y+1/2,-z+3/4'
'x+1/4,-y+1/2,z+3/4'
'x+1/2,y,z+1/2'
'-x+1/2,-y,-z+1/2'
'-x+3/4,-y+1/4,z+1/2'
'x+3/4,y+1/4,-z+1/2'
'x+1/2,-y+1/4,-z+3/4'
'-x+1/2,y+1/4,z+3/4'
'-x+3/4,y,-z+3/4'
'x+3/4,-y,z+3/4'
'x+1/2,y+1/2,z'
'-x+1/2,-y+1/2,-z'
'-x+3/4,-y+3/4,z'
'x+3/4,y+3/4,-z'
'x+1/2,-y+3/4,-z+1/4'
'-x+1/2,y+3/4,z+1/4'
'-x+3/4,y+1/2,-z+1/4'
'x+3/4,-y+1/2,z+1/4'
loop_
_atom_site_label
_atom_site_fract_x
_atom_site_fract_y
_atom_site_fract_z
Cu1 0.0000 0.0000 0.0000
Se1 0.1250 0.1250 0.1250
Cl1 0.1250 0.1250 0.3602
```

The 10 most intense peaks (2θ = 10–90°), low angle first:
2θ (°), d [Å], I_rel
15.26, 5.805, 100
27.68, 3.223, 17
30.80, 2.903, 21
33.16, 2.702, 11
38.84, 2.319, 12
41.86, 2.158, 18
42.62, 2.121, 7
43.07, 2.100, 9
49.80, 1.831, 8
54.25, 1.691, 8